Simulated XRD peak list of Ba5Ru2O10 for Cu Kα (weighted mean of Kα1 and Kα2), from DFT lattice parameters and positions (GGA-PBE).
Neutral-atom scattering factors, no anomalous dispersion.

Largest 12 diffraction maxima, in order of rising 2θ, 15 to 90 degrees two-theta:
hkl 1 0 4, 2θ 26.0, d 3.427, intensity 47; hkl 1 1 0, 2θ 29.4, d 3.038, intensity 100; hkl 1 0 5, 2θ 30.0, d 2.978, intensity 32; hkl 2 0 4, 2θ 39.7, d 2.273, intensity 32; hkl 1 1 6, 2θ 42.3, d 2.138, intensity 20; hkl 2 0 5, 2θ 42.5, d 2.127, intensity 16; hkl 2 1 4, 2θ 50.1, d 1.820, intensity 15; hkl 1 1 8, 2θ 50.4, d 1.812, intensity 8; hkl 3 0 0, 2θ 52.2, d 1.754, intensity 20; hkl 2 1 5, 2θ 52.5, d 1.742, intensity 13; hkl 2 2 0, 2θ 61.0, d 1.519, intensity 17; hkl 4 1 0, 2θ 84.4, d 1.148, intensity 10

Structure:
```
data_Ba5Ru2O10
_chemical_formula_sum 'Ba10 Ru4 O20'
_cell_length_a 6.0751
_cell_length_b 6.0751
_cell_length_c 18.0629
_cell_angle_alpha 90.00
_cell_angle_beta 90.00
_cell_angle_gamma 120.00
_space_group_name_H-M_alt 'P 63/m m c'
_space_group_IT_number 194
_space_group_name_Hall '-P 6c 2c'
loop_
_atom_site_label
_atom_site_fract_x
_atom_site_fract_y
_atom_site_fract_z
_atom_site_occupancy
Ba1 0.0000 0.0000 0.1365 1
Ba2 0.3333 0.6667 0.0156 1
Ba3 0.3333 0.6667 0.2500 1
Ru1 0.3333 0.6667 0.6727 1
O1 0.0000 0.0000 0.0000 1
O2 0.0240 0.5120 0.6161 1
O3 0.1870 0.3741 0.7500 1
```